[1]
For PrDy5HoSc2, a crystal structure in Alexandria, relaxed with GGA-PBE gives the simulated XRD peak list in this record (Cu Kα X-rays).

The 6 most intense peaks (2θ = 10–90°), in order of rising 2θ:
hkl, Position (°2θ), Rel. int.
1 1 2, 25.21, 21
0 6 1, 26.59, 23
2 0 0, 31.95, 59
1 5 2, 32.49, 100
1 1 3, 33.22, 74
1 7 1, 34.61, 49

Structure:
```
data_PrDy5HoSc2
_symmetry_space_group_name_H-M 'C m c 21'
_symmetry_Int_Tables_number 36
_symmetry_space_group_name_Hall 'C 2c -2'
_cell_length_a 5.602
_cell_length_b 21.552
_cell_length_c 9.325
_cell_angle_alpha 90.00
_cell_angle_beta 90.00
_cell_angle_gamma 90.00
loop_
_atom_site_label
_atom_site_type_symbol
_atom_site_fract_x
_atom_site_fract_y
_atom_site_fract_z
Pr1 Pr 0.000 0.184 0.000
Dy1 Dy 0.000 0.009 0.997
Dy2 Dy 0.000 0.266 0.315
Dy3 Dy 0.000 0.308 0.701
Dy4 Dy 0.000 0.393 0.029
Dy5 Dy 0.000 0.468 0.730
Ho1 Ho 0.000 0.403 0.401
Sc1 Sc 0.000 0.113 0.308
Sc2 Sc 0.000 0.138 0.680
```

=====

[2]
For Dy6Ho3Th2, a crystal structure in Alexandria, relaxed with GGA-PBE gives the simulated XRD peak list in this record (Cu Kα X-rays).

The 6 most intense peaks (2θ = 10–90°), in order of rising 2θ:
hkl, Position (°2θ), Rel. int.
0 4 0, 28.61, 42
1 1 3, 31.49, 100
2 1 1, 32.30, 43
1 4 0, 32.43, 53
1 2 3, 33.92, 40
0 3 3, 34.36, 34

Structure:
```
data_Dy6Ho3Th2
_symmetry_space_group_name_H-M 'P n n m'
_symmetry_Int_Tables_number 58
_symmetry_space_group_name_Hall '-P 2 2n'
_cell_length_a 5.928
_cell_length_b 12.481
_cell_length_c 10.056
_cell_angle_alpha 90.00
_cell_angle_beta 90.00
_cell_angle_gamma 90.00
loop_
_atom_site_label
_atom_site_type_symbol
_atom_site_fract_x
_atom_site_fract_y
_atom_site_fract_z
Dy1 Dy 0.187 0.202 0.000
Dy2 Dy 0.214 0.222 0.339
Ho1 Ho 0.000 0.000 0.180
Ho2 Ho 0.000 0.500 0.500
Th1 Th 0.242 0.947 0.500
```